Record 1
The following is a simulated powder XRD pattern of LiSmSe2. It was derived from a cell relaxed with PBE, using Cu Kα (λ = 1.5418 Å).

Crystal structure
```
data_LiSmSe2
_space_group_name_H-M_alt 'P 4/m m m'
_space_group_IT_number 123
_space_group_name_Hall '-P 4 2'
_cell_length_a 4.168
_cell_length_b 4.168
_cell_length_c 5.688
_cell_angle_alpha 90.00
_cell_angle_beta 90.00
_cell_angle_gamma 90.00
loop_
_atom_site_label
_atom_site_type_symbol
_atom_site_fract_x
_atom_site_fract_y
_atom_site_fract_z
Li1 Li 0.000 0.000 0.000
Sm1 Sm 0.500 0.500 0.500
Se1 Se 0.000 0.000 0.500
Se2 Se 0.500 0.500 0.000
```

Most intense lines, 2θ = 10–80°, sorted by position:
(hkl)  2θ (°)  I_rel
0 0 1  15.58  52
1 0 0  21.32  50
1 1 0  30.33  100
0 0 2  31.46  45
1 1 1  34.27  30
1 0 2  38.32  22
2 0 0  43.42  37
1 1 2  44.26  70
2 0 2  54.60  38
3 1 0  71.59  17
2 2 2  72.20  16
1 1 4  74.02  15

Record 2
The following is a simulated powder XRD pattern of LiSmSe2. It was derived from a cell relaxed with PBE, using Cu Kα (λ = 1.5418 Å).

Crystal structure
```
data_LiSmSe2
_space_group_name_H-M_alt 'I 41/a m d'
_space_group_IT_number 141
_cell_length_a 5.808
_cell_length_b 5.808
_cell_length_c 11.695
_cell_angle_alpha 90.00
_cell_angle_beta 90.00
_cell_angle_gamma 90.00
loop_
_space_group_symop_operation_xyz
'x,y,z'
'-x,-y,-z'
'-y+1/4,x+3/4,z+1/4'
'y+1/4,-x+3/4,-z+1/4'
'-x+1/2,-y,z+1/2'
'x+1/2,y,-z+1/2'
'y+1/4,-x+1/4,z+3/4'
'-y+1/4,x+1/4,-z+3/4'
'x,-y,-z'
'-x,y,z'
'-y+1/4,-x+1/4,-z+3/4'
'y+1/4,x+1/4,z+3/4'
'-x+1/2,y,-z+1/2'
'x+1/2,-y,z+1/2'
'y+1/4,x+3/4,-z+1/4'
'-y+1/4,-x+3/4,z+1/4'
'x+1/2,y+1/2,z+1/2'
'-x+1/2,-y+1/2,-z+1/2'
'-y+3/4,x+1/4,z+3/4'
'y+3/4,-x+1/4,-z+3/4'
'-x,-y+1/2,z'
'x,y+1/2,-z'
'y+3/4,-x+3/4,z+1/4'
'-y+3/4,x+3/4,-z+1/4'
'x+1/2,-y+1/2,-z+1/2'
'-x+1/2,y+1/2,z+1/2'
'-y+3/4,-x+3/4,-z+1/4'
'y+3/4,x+3/4,z+1/4'
'-x,y+1/2,-z'
'x,-y+1/2,z'
'y+3/4,x+1/4,-z+3/4'
'-y+3/4,-x+1/4,z+3/4'
loop_
_atom_site_label
_atom_site_type_symbol
_atom_site_fract_x
_atom_site_fract_y
_atom_site_fract_z
Li1 Li 0.000 0.250 0.375
Sm1 Sm 0.000 0.250 0.875
Se1 Se 0.000 0.250 0.125
```

Most intense lines, 2θ = 10–80°, sorted by position:
(hkl)  2θ (°)  I_rel
1 0 1  17.05  88
1 0 3  27.56  28
0 0 4  30.58  51
2 0 0  30.79  100
2 1 1  35.40  29
2 1 3  41.79  18
2 0 4  43.94  75
2 2 0  44.10  37
2 2 4  54.61  39
2 0 8  72.37  17
4 0 4  72.71  17
4 2 0  72.82  17